Entry 1:
Rb2CdInCl5: computed XRD peak list (Cu Kα X-rays), based on a DFT-relaxed cell (PBE, Alexandria).

Crystal structure
a b c (Å): 5.182 7.455 15.669
angles (deg): 90.00 90.00 90.00
Space group Immm (No. 71)
Unique sites:
Rb  0.000  0.000  0.206
Cd  0.000  0.500  0.500
In  0.000  0.500  0.000
Cl  0.000  0.000  0.000
Cl  0.000  0.249  0.378

Most intense lines, 2θ = 10–80°, low angle first:
hkl, Position (°2θ), I (rel.)
0 0 2, 11.29, 17
1 1 2, 23.81, 100
0 2 4, 33.18, 37
2 0 0, 34.62, 23
1 3 2, 41.94, 19
2 2 4, 48.71, 23

=====

Entry 2:
Ho3Ge4: computed XRD peak list (Cu Kα X-rays), based on a DFT-relaxed cell (PBE, Alexandria).

Crystal structure
a b c (Å): 4.048 10.660 14.252
angles (deg): 90.00 90.00 90.00
Space group Cmcm (No. 63)
Unique sites:
Ho  0.000  0.045  0.250
Ho  0.000  0.330  0.097
Ge  0.000  0.000  0.000
Ge  0.000  0.226  0.750
Ge  0.000  0.381  0.608

Most intense lines, 2θ = 10–80°, low angle first:
hkl, Position (°2θ), I (rel.)
0 2 4, 30.18, 53
1 3 0, 33.56, 82
0 4 1, 34.22, 39
1 1 4, 34.58, 100
1 3 3, 38.68, 36
0 4 4, 42.34, 36

=====

Entry 3:
UFeReSi2: computed XRD peak list (Cu Kα X-rays), based on a DFT-relaxed cell (PBE, Alexandria).

Crystal structure
a b c (Å): 5.263 4.924 6.040
angles (deg): 90.00 90.00 90.00
Space group Pmma (No. 51)
Unique sites:
U  0.250  0.000  0.197
Fe  0.000  0.500  0.000
Re  0.250  0.500  0.387
Si  0.250  0.252  0.744

Most intense lines, 2θ = 10–80°, low angle first:
hkl, Position (°2θ), I (rel.)
1 0 1, 22.41, 100
2 0 0, 34.07, 40
1 1 2, 38.95, 69
2 1 1, 41.69, 41
1 2 1, 43.25, 76
3 2 1, 67.34, 35

=====

Entry 4:
Nd8HoTm2: computed XRD peak list (Cu Kα X-rays), based on a DFT-relaxed cell (PBE, Alexandria).

Crystal structure
a b c (Å): 10.445 13.556 5.477
angles (deg): 90.00 90.11 90.00
Space group C2/m (No. 12)
Unique sites:
Nd  0.000  0.247  0.000
Nd  0.165  0.000  0.000
Nd  0.165  0.365  0.500
Ho  0.000  0.500  0.000
Tm  0.000  0.119  0.500

Most intense lines, 2θ = 10–80°, low angle first:
hkl, Position (°2θ), I (rel.)
0 4 1, 31.06, 100
3 1 1, 31.17, 30
3 3 0, 32.46, 31
0 0 2, 32.70, 31
3 3 2, 46.75, 23
6 4 1, 62.31, 19

=====

Entry 5:
PrY2Tm4: computed XRD peak list (Cu Kα X-rays), based on a DFT-relaxed cell (PBE, Alexandria).

Crystal structure
a b c (Å): 7.085 7.928 8.680
angles (deg): 111.42 90.04 102.92
Space group P1 (No. 1)
Unique sites:
Pr  0.000  0.000  0.000
Pr  0.428  0.713  0.570
Y  0.288  0.149  0.714
Y  0.713  0.861  0.285
Y  0.857  0.430  0.141
Y  0.928  0.714  0.570
Tm  0.072  0.286  0.428
Tm  0.143  0.571  0.857
Tm  0.215  0.859  0.284
Tm  0.357  0.431  0.143
Tm  0.500  0.002  0.000
Tm  0.571  0.286  0.426
Tm  0.642  0.571  0.857
Tm  0.786  0.148  0.713

Most intense lines, 2θ = 10–80°, low angle first:
hkl, Position (°2θ), I (rel.)
0 2 1, 30.90, 100
0 3 -2, 35.82, 34
2 0 2, 35.86, 17
2 3 0, 51.58, 36
4 1 1, 61.35, 42
0 4 2, 64.40, 12